1.
Computed X-ray powder pattern of SmDy2ErBi5 for CuKα, from a DFT-relaxed cell (PBE, Alexandria).
Intensities are scaled so that the largest is 1000.

Structure:
```
data_SmDy2ErBi5
_cell_length_a 5.506
_cell_length_b 5.506
_cell_length_c 11.836
_cell_angle_alpha 90.00
_cell_angle_beta 90.00
_cell_angle_gamma 90.00
_symmetry_space_group_name_H-M 'P 1'
_symmetry_Int_Tables_number 1
_symmetry_space_group_name_Hall 'P 1'
loop_
_atom_site_label
_atom_site_fract_x
_atom_site_fract_y
_atom_site_fract_z
Sm1 0.000 0.000 0.000
Dy1 0.500 0.500 0.229
Dy2 0.500 0.500 0.771
Er1 0.000 0.000 0.500
Bi1 0.000 0.000 0.257
Bi2 0.000 0.000 0.743
Bi3 0.000 0.500 0.000
Bi4 0.500 0.000 0.000
Bi5 0.500 0.500 0.500
```

The 10 most intense peaks (2θ = 10–80°), low angle first:
| d [Å] | two_theta | intensity |
| --- | --- | --- |
| 3.893 | 22.8 | 618 |
| 3.698 | 24.1 | 565 |
| 3.252 | 27.4 | 414 |
| 2.959 | 30.2 | 570 |
| 2.771 | 32.3 | 364 |
| 2.753 | 32.5 | 1000 |
| 2.356 | 38.2 | 293 |
| 2.015 | 45.0 | 782 |
| 1.947 | 46.7 | 373 |
| 1.626 | 56.6 | 400 |

=====

2.
Computed X-ray powder pattern of Dy4FeBi for CuKα, from a DFT-relaxed cell (PBE, Alexandria).
Intensities are scaled so that the largest is 1000.

Structure:
```
data_Dy4FeBi
_cell_length_a 7.981
_cell_length_b 7.981
_cell_length_c 6.062
_cell_angle_alpha 101.68
_cell_angle_beta 101.68
_cell_angle_gamma 112.67
_symmetry_space_group_name_H-M 'P 1'
_symmetry_Int_Tables_number 1
_symmetry_space_group_name_Hall 'P 1'
loop_
_atom_site_label
_atom_site_fract_x
_atom_site_fract_y
_atom_site_fract_z
Dy1 0.056 0.733 0.941
Dy2 0.203 0.348 0.637
Dy3 0.267 0.944 0.559
Dy4 0.348 0.203 0.137
Dy5 0.652 0.797 0.863
Dy6 0.733 0.056 0.441
Dy7 0.797 0.652 0.363
Dy8 0.944 0.267 0.059
Fe1 0.001 0.999 0.250
Fe2 0.999 0.001 0.750
Bi1 0.372 0.628 0.250
Bi2 0.628 0.372 0.750
```

The 10 most intense peaks (2θ = 10–80°), low angle first:
| d [Å] | two_theta | intensity |
| --- | --- | --- |
| 3.321 | 26.8 | 285 |
| 2.954 | 30.3 | 702 |
| 2.862 | 31.2 | 271 |
| 2.856 | 31.3 | 671 |
| 2.631 | 34.1 | 1000 |
| 2.585 | 34.7 | 230 |
| 2.501 | 35.9 | 334 |
| 2.440 | 36.8 | 302 |
| 2.411 | 37.3 | 261 |
| 1.684 | 54.5 | 250 |

=====

3.
Computed X-ray powder pattern of Dy6FeBi3 for CuKα, from a DFT-relaxed cell (PBE, Alexandria).
Intensities are scaled so that the largest is 1000.

Structure:
```
data_Dy6FeBi3
_cell_length_a 9.201
_cell_length_b 9.201
_cell_length_c 7.577
_cell_angle_alpha 90.00
_cell_angle_beta 90.00
_cell_angle_gamma 102.85
_symmetry_space_group_name_H-M 'P 1'
_symmetry_Int_Tables_number 1
_symmetry_space_group_name_Hall 'P 1'
loop_
_atom_site_label
_atom_site_fract_x
_atom_site_fract_y
_atom_site_fract_z
Dy1 0.012 0.988 0.500
Dy2 0.092 0.612 0.418
Dy3 0.242 0.758 0.977
Dy4 0.297 0.373 0.937
Dy5 0.373 0.297 0.437
Dy6 0.388 0.908 0.418
Dy7 0.612 0.092 0.918
Dy8 0.627 0.703 0.937
Dy9 0.703 0.627 0.437
Dy10 0.758 0.242 0.477
Dy11 0.908 0.388 0.918
Dy12 0.988 0.012 0.000
Fe1 0.131 0.869 0.245
Fe2 0.869 0.131 0.745
Bi1 0.071 0.296 0.253
Bi2 0.296 0.071 0.753
Bi3 0.391 0.609 0.630
Bi4 0.609 0.391 0.130
Bi5 0.704 0.929 0.253
Bi6 0.929 0.704 0.753
```

The 10 most intense peaks (2θ = 10–80°), low angle first:
| d [Å] | two_theta | intensity |
| --- | --- | --- |
| 3.860 | 23.0 | 649 |
| 3.821 | 23.3 | 331 |
| 2.990 | 29.9 | 334 |
| 2.782 | 32.2 | 1000 |
| 2.646 | 33.9 | 563 |
| 2.608 | 34.4 | 750 |
| 2.286 | 39.4 | 237 |
| 2.085 | 43.4 | 270 |
| 1.542 | 60.0 | 250 |
| 1.471 | 63.2 | 290 |

=====

4.
Computed X-ray powder pattern of Dy5Fe2Bi for CuKα, from a DFT-relaxed cell (PBE, Alexandria).
Intensities are scaled so that the largest is 1000.

Structure:
```
data_Dy5Fe2Bi
_cell_length_a 9.036
_cell_length_b 9.036
_cell_length_c 9.036
_cell_angle_alpha 130.98
_cell_angle_beta 130.98
_cell_angle_gamma 71.84
_symmetry_space_group_name_H-M 'P 1'
_symmetry_Int_Tables_number 1
_symmetry_space_group_name_Hall 'P 1'
loop_
_atom_site_label
_atom_site_fract_x
_atom_site_fract_y
_atom_site_fract_z
Dy1 0.000 0.000 0.000
Dy2 0.036 0.536 0.835
Dy3 0.201 0.036 0.500
Dy4 0.299 0.799 0.835
Dy5 0.464 0.299 0.500
Dy6 0.500 0.500 0.000
Dy7 0.536 0.701 0.500
Dy8 0.701 0.201 0.165
Dy9 0.799 0.964 0.500
Dy10 0.964 0.464 0.165
Fe1 0.112 0.388 0.500
Fe2 0.388 0.888 0.276
Fe3 0.612 0.112 0.724
Fe4 0.888 0.612 0.500
Bi1 0.250 0.250 0.000
Bi2 0.750 0.750 0.000
```

The 10 most intense peaks (2θ = 10–80°), low angle first:
| d [Å] | two_theta | intensity |
| --- | --- | --- |
| 3.268 | 27.3 | 441 |
| 3.011 | 29.7 | 589 |
| 2.763 | 32.4 | 940 |
| 2.651 | 33.8 | 296 |
| 2.618 | 34.2 | 1000 |
| 2.371 | 38.0 | 802 |
| 2.205 | 40.9 | 282 |
| 1.829 | 49.8 | 207 |
| 1.591 | 58.0 | 418 |
| 1.448 | 64.3 | 330 |

=====

5.
Computed X-ray powder pattern of Dy18MnFe2Bi6 for CuKα, from a DFT-relaxed cell (PBE, Alexandria).
Intensities are scaled so that the largest is 1000.

Structure:
```
data_Dy18MnFe2Bi6
_cell_length_a 4.228
_cell_length_b 22.031
_cell_length_c 22.031
_cell_angle_alpha 158.23
_cell_angle_beta 90.00
_cell_angle_gamma 90.00
_symmetry_space_group_name_H-M 'P 1'
_symmetry_Int_Tables_number 1
_symmetry_space_group_name_Hall 'P 1'
loop_
_atom_site_label
_atom_site_fract_x
_atom_site_fract_y
_atom_site_fract_z
Dy1 0.000 0.000 0.000
Dy2 0.000 0.052 0.642
Dy3 0.000 0.311 0.389
Dy4 0.000 0.335 0.668
Dy5 0.000 0.389 0.311
Dy6 0.000 0.642 0.052
Dy7 0.000 0.668 0.335
Dy8 0.000 0.719 0.976
Dy9 0.000 0.976 0.719
Dy10 0.500 0.102 0.971
Dy11 0.500 0.292 0.958
Dy12 0.500 0.303 0.768
Dy13 0.500 0.434 0.637
Dy14 0.500 0.627 0.627
Dy15 0.500 0.637 0.434
Dy16 0.500 0.768 0.303
Dy17 0.500 0.958 0.292
Dy18 0.500 0.971 0.102
Mn1 0.500 0.234 0.234
Fe1 0.500 0.566 0.899
Fe2 0.500 0.899 0.566
Bi1 0.000 0.010 0.454
Bi2 0.000 0.120 0.343
Bi3 0.000 0.343 0.120
Bi4 0.000 0.454 0.010
Bi5 0.000 0.678 0.789
Bi6 0.000 0.789 0.678
```

The 10 most intense peaks (2θ = 10–80°), low angle first:
| d [Å] | two_theta | intensity |
| --- | --- | --- |
| 2.966 | 30.1 | 1000 |
| 2.743 | 32.6 | 563 |
| 2.724 | 32.9 | 564 |
| 2.403 | 37.4 | 312 |
| 2.290 | 39.3 | 343 |
| 2.114 | 42.8 | 219 |
| 1.670 | 55.0 | 266 |
| 1.587 | 58.1 | 176 |
| 1.540 | 60.1 | 221 |
| 1.474 | 63.1 | 216 |

=====

6.
Computed X-ray powder pattern of Dy5GaBi4 for CuKα, from a DFT-relaxed cell (PBE, Alexandria).
Intensities are scaled so that the largest is 1000.

Structure:
```
data_Dy5GaBi4
_cell_length_a 7.659
_cell_length_b 7.659
_cell_length_c 7.659
_cell_angle_alpha 99.60
_cell_angle_beta 99.60
_cell_angle_gamma 131.79
_symmetry_space_group_name_H-M 'P 1'
_symmetry_Int_Tables_number 1
_symmetry_space_group_name_Hall 'P 1'
loop_
_atom_site_label
_atom_site_fract_x
_atom_site_fract_y
_atom_site_fract_z
Dy1 0.000 0.000 0.000
Dy2 0.209 0.600 0.810
Dy3 0.400 0.209 0.609
Dy4 0.600 0.791 0.391
Dy5 0.791 0.400 0.190
Ga1 0.500 0.500 0.000
Bi1 0.095 0.302 0.397
Bi2 0.302 0.905 0.208
Bi3 0.698 0.095 0.792
Bi4 0.905 0.698 0.603
```

The 10 most intense peaks (2θ = 10–80°), low angle first:
| d [Å] | two_theta | intensity |
| --- | --- | --- |
| 6.991 | 12.7 | 19 |
| 5.287 | 16.8 | 21 |
| 3.611 | 24.7 | 17 |
| 3.127 | 28.5 | 1000 |
| 2.916 | 30.7 | 19 |
| 2.211 | 40.8 | 774 |
| 1.805 | 50.6 | 277 |
| 1.564 | 59.1 | 129 |
| 1.398 | 66.9 | 357 |
| 1.277 | 74.3 | 264 |